# MnV2Pb2O8
Computed X-ray diffraction stick pattern, Cu Ka. Input: a DFT-relaxed cell (PBE+U, Alexandria).
Neutral-atom scattering factors, no anomalous dispersion.

Most intense lines, 15 to 90 degrees two-theta, low angle first:
(hkl), 2θ (°), Rel. int.
1 0 1, 19.49, 37
0 2 0, 26.89, 50
2 1 -1, 27.38, 100
1 0 -3, 29.27, 46
1 1 2, 31.79, 71
2 3 -1, 47.84, 36

Cell and atoms:
Unit cell a=7.4827 b=6.6309 c=9.1549 alpha=90.00 beta=112.66 gamma=90.00
Fractional positions:
Mn  0.0000  0.0000  0.0000
Mn  0.0000  0.5000  0.0000
V  0.0479  0.2500  0.3343
V  0.4466  0.2500  0.1503
V  0.5534  0.7500  0.8497
V  0.9521  0.7500  0.6657
Pb  0.2650  0.2500  0.7380
Pb  0.3504  0.7500  0.4785
Pb  0.6496  0.2500  0.5215
Pb  0.7350  0.7500  0.2620
O  0.0096  0.5275  0.7806
O  0.0096  0.9725  0.7806
O  0.0681  0.7500  0.5355
O  0.1876  0.2500  0.0459
O  0.2911  0.2500  0.4599
O  0.4552  0.7500  0.9879
O  0.4745  0.5429  0.7192
O  0.4745  0.9571  0.7192
O  0.5255  0.0429  0.2808
O  0.5255  0.4571  0.2808
O  0.5448  0.2500  0.0121
O  0.7089  0.7500  0.5401
O  0.8124  0.7500  0.9541
O  0.9319  0.2500  0.4645
O  0.9904  0.0275  0.2194
O  0.9904  0.4725  0.2194